Simulated XRD peak list
Compound: Rb2CoO3
Radiation: λ = 1.5418 Å (Cu Kα)
Structure: a crystal structure in the Materials Project, relaxed with GGA+U
Kinematic intensities with the Lorentz-polarization factor, no thermal factor.

Top 10 peaks for 5° ≤ 2θ ≤ 70°, in order of rising 2θ:
- d = 3.151 Å, I 31
- d = 3.059 Å, I 76
- d = 2.726 Å, I 100
- d = 2.716 Å, I 33
- d = 2.401 Å, I 18
- d = 2.057 Å, I 32
- d = 2.013 Å, I 16
- d = 1.570 Å, I 17
- d = 1.513 Å, I 17
- d = 1.466 Å, I 13

Crystal structure
abc: 6.4022 6.4022 5.4319
angles: 90.01 90.01 109.36
Atoms (fractional coordinates):
Rb 0.1519 0.4757 0.5007
Rb 0.1600 0.8400 0.0000
Rb 0.4757 0.1519 0.5007
Rb 0.8400 0.1600 0.0000
Co 0.5781 0.5781 0.0065
Co 0.7326 0.7326 0.5066
O 0.3380 0.3380 0.0141
O 0.5388 0.7773 0.7516
O 0.5451 0.7833 0.2580
O 0.7773 0.5388 0.7516
O 0.7833 0.5451 0.2580
O 0.9758 0.9758 0.5148